Record 1
This entry pairs a crystal structure of AcPm3Dy8 with its calculated powder diffractogram. Radiation: copper Kα. Structure: a DFT-relaxed cell (GGA-PBE, Alexandria).
Kinematic intensities with the Lorentz-polarization factor, no thermal factor.

Crystal structure
```
data_AcPm3Dy8
_space_group_name_H-M_alt 'C 1 2 1'
_space_group_IT_number 5
_cell_length_a 15.9168
_cell_length_b 6.3499
_cell_length_c 10.9823
_cell_angle_alpha 90.00
_cell_angle_beta 133.55
_cell_angle_gamma 90.00
loop_
_space_group_symop_operation_xyz
'x,y,z'
'-x,y,-z'
'x+1/2,y+1/2,z'
'-x+1/2,y+1/2,-z'
loop_
_atom_site_label
_atom_site_type_symbol
_atom_site_fract_x
_atom_site_fract_y
_atom_site_fract_z
Ac1 Ac 0.0000 0.0000 0.0000
Pm1 Pm 0.0000 0.4986 0.5000
Pm2 Pm 0.2478 0.1591 0.7478
Dy1 Dy 0.0001 0.4940 0.1708
Dy2 Dy 0.9999 0.9952 0.3344
Dy3 Dy 0.2469 0.6667 0.5777
Dy4 Dy 0.2472 0.6666 0.9165
```

Main lines, by angle (2θ = 15–90°):
- 2θ 28.13, rel. 24
- 2θ 31.01, rel. 25
- 2θ 32.20, rel. 100
- 2θ 42.35, rel. 16
- 2θ 49.78, rel. 20
- 2θ 55.92, rel. 21
- 2θ 59.80, rel. 19
- 2θ 60.56, rel. 11
- 2θ 82.09, rel. 7
- 2θ 85.73, rel. 7



Record 2
This entry pairs a crystal structure of Ac2Pm2Dy3 with its calculated powder diffractogram. Radiation: copper Kα. Structure: a DFT-relaxed cell (GGA-PBE, Alexandria).
Kinematic intensities with the Lorentz-polarization factor, no thermal factor.

Crystal structure
```
data_Ac2Pm2Dy3
_space_group_name_H-M_alt 'P 1 2/m 1'
_space_group_IT_number 10
_cell_length_a 5.7924
_cell_length_b 3.5829
_cell_length_c 12.5254
_cell_angle_alpha 90.00
_cell_angle_beta 103.36
_cell_angle_gamma 90.00
loop_
_space_group_symop_operation_xyz
'x,y,z'
'-x,-y,-z'
'-x,y,-z'
'x,-y,z'
loop_
_atom_site_label
_atom_site_type_symbol
_atom_site_fract_x
_atom_site_fract_y
_atom_site_fract_z
Ac1 Ac 0.0776 0.0000 0.1545
Pm1 Pm 0.3497 0.5000 0.6983
Dy1 Dy 0.2178 0.0000 0.4358
Dy2 Dy 0.5000 0.0000 0.0000
```

Main lines, by angle (2θ = 15–90°):
- 2θ 24.85, rel. 22
- 2θ 29.54, rel. 32
- 2θ 29.94, rel. 100
- 2θ 30.87, rel. 49
- 2θ 31.35, rel. 42
- 2θ 33.35, rel. 21
- 2θ 39.29, rel. 27
- 2θ 46.08, rel. 18
- 2θ 54.33, rel. 19
- 2θ 60.25, rel. 28